[1]
RbCd3O3: calculated XRD peak list (λ = 1.5418 Å (Cu Kα)), based on a structure optimized by DFT (GGA-PBE).
No peak broadening, texture or thermal motion is included.

Cell and atoms:
```
data_RbCd3O3
_space_group_name_H-M_alt 'R -3'
_space_group_IT_number 148
_space_group_name_Hall '-R 3'
_cell_length_a 6.4866
_cell_length_b 6.4866
_cell_length_c 23.5617
_cell_angle_alpha 90.00
_cell_angle_beta 90.00
_cell_angle_gamma 120.00
loop_
_atom_site_label
_atom_site_fract_x
_atom_site_fract_y
_atom_site_fract_z
Rb1 0.0000 0.0000 0.1670
Cd1 0.0014 0.3156 0.6197
O1 0.9996 0.3492 0.4050
```

Principal peaks in the range 15 to 90 degrees two-theta, in order of falling intensity:
| (hkl) | 2theta | I/Imax |
| --- | --- | --- |
| 2 -1 3 | 29.8 | 100 |
| 1 1 6 | 35.9 | 76 |
| 3 0 0 | 48.6 | 36 |
| 0 0 9 | 34.3 | 28 |
| 3 0 9 | 60.8 | 27 |
| 1 1 9 | 44.5 | 15 |
| 2 -1 12 | 54.6 | 14 |
| 2 2 3 | 58.1 | 14 |
| 4 -2 6 | 61.9 | 14 |
| 1 1 15 | 66.1 | 12 |


[2]
Ac3Cd2Au8: calculated XRD peak list (λ = 1.5418 Å (Cu Kα)), based on a structure optimized by DFT (GGA-PBE).
No peak broadening, texture or thermal motion is included.

Cell and atoms:
```
data_Ac3Cd2Au8
_space_group_name_H-M_alt 'R -3 m'
_space_group_IT_number 166
_space_group_name_Hall '-R 3 2"'
_cell_length_a 5.6732
_cell_length_b 5.6732
_cell_length_c 37.1896
_cell_angle_alpha 90.00
_cell_angle_beta 90.00
_cell_angle_gamma 120.00
loop_
_atom_site_label
_atom_site_fract_x
_atom_site_fract_y
_atom_site_fract_z
Ac1 0.0000 0.0000 0.0000
Ac2 0.0000 0.0000 0.2374
Cd1 0.0000 0.0000 0.3947
Au1 0.0000 0.0000 0.3200
Au2 0.0047 0.5023 0.8000
```

Principal peaks in the range 15 to 90 degrees two-theta, in order of falling intensity:
| (hkl) | 2theta | I/Imax |
| --- | --- | --- |
| 1 1 3 | 32.4 | 100 |
| 2 0 5 | 38.6 | 83 |
| 2 0 2 | 36.9 | 80 |
| 1 0 13 | 36.3 | 72 |
| 1 1 12 | 43.2 | 54 |
| 0 2 10 | 44.2 | 53 |
| 1 1 0 | 31.5 | 51 |
| 2 2 0 | 65.9 | 49 |
| 0 0 9 | 21.5 | 48 |
| 0 1 8 | 26.4 | 45 |


[3]
PmNdHgO: calculated XRD peak list (λ = 1.5418 Å (Cu Kα)), based on a structure optimized by DFT (GGA-PBE).
No peak broadening, texture or thermal motion is included.

Cell and atoms:
```
data_PmNdHgO
_space_group_name_H-M_alt 'I m m 2'
_space_group_IT_number 44
_cell_length_a 3.7754
_cell_length_b 3.7918
_cell_length_c 13.7700
_cell_angle_alpha 90.00
_cell_angle_beta 90.00
_cell_angle_gamma 90.00
loop_
_space_group_symop_operation_xyz
'x,y,z'
'-x,-y,z'
'-x,y,z'
'x,-y,z'
'x+1/2,y+1/2,z+1/2'
'-x+1/2,-y+1/2,z+1/2'
'-x+1/2,y+1/2,z+1/2'
'x+1/2,-y+1/2,z+1/2'
loop_
_atom_site_label
_atom_site_fract_x
_atom_site_fract_y
_atom_site_fract_z
Pm1 0.0000 0.0000 0.0000
Nd1 0.0000 0.0000 0.6948
Hg1 0.0000 0.0000 0.3477
O1 0.0000 0.5000 0.5956
```

Principal peaks in the range 15 to 90 degrees two-theta, in order of falling intensity:
| (hkl) | 2theta | I/Imax |
| --- | --- | --- |
| 0 1 3 | 30.6 | 100 |
| 1 1 0 | 33.5 | 38 |
| 1 1 6 | 52.5 | 21 |
| 1 2 3 | 58.0 | 17 |
| 2 1 3 | 58.2 | 16 |
| 0 0 6 | 39.3 | 11 |
| 0 2 0 | 48.0 | 8 |
| 1 0 9 | 65.8 | 8 |
| 2 0 0 | 48.2 | 8 |
| 1 0 5 | 40.5 | 6 |


[4]
AcHgAs2O7: calculated XRD peak list (λ = 1.5418 Å (Cu Kα)), based on a structure optimized by DFT (GGA-PBE).
No peak broadening, texture or thermal motion is included.

Cell and atoms:
```
data_AcHgAs2O7
_space_group_name_H-M_alt 'P 4/m m m'
_space_group_IT_number 123
_space_group_name_Hall '-P 4 2'
_cell_length_a 3.6751
_cell_length_b 3.6751
_cell_length_c 11.0746
_cell_angle_alpha 90.00
_cell_angle_beta 90.00
_cell_angle_gamma 90.00
loop_
_atom_site_label
_atom_site_fract_x
_atom_site_fract_y
_atom_site_fract_z
Ac1 0.0000 0.0000 0.0000
Hg1 0.0000 0.0000 0.5000
As1 0.5000 0.5000 0.2278
O1 0.0000 0.5000 0.1826
O2 0.5000 0.5000 0.0000
O3 0.5000 0.5000 0.3846
```

Principal peaks in the range 15 to 90 degrees two-theta, in order of falling intensity:
| (hkl) | 2theta | I/Imax |
| --- | --- | --- |
| 1 0 2 | 29.2 | 100 |
| 1 1 0 | 34.5 | 34 |
| 2 1 2 | 58.6 | 29 |
| 1 1 4 | 48.0 | 27 |
| 0 0 2 | 16.0 | 19 |
| 1 1 2 | 38.3 | 18 |
| 2 0 0 | 49.6 | 18 |
| 0 0 4 | 32.3 | 18 |
| 1 0 6 | 55.7 | 15 |
| 1 0 4 | 40.8 | 14 |


[5]
Mg6GaAu10: calculated XRD peak list (λ = 1.5418 Å (Cu Kα)), based on a structure optimized by DFT (GGA-PBE).
No peak broadening, texture or thermal motion is included.

Cell and atoms:
```
data_Mg6GaAu10
_space_group_name_H-M_alt 'P -3 1 m'
_space_group_IT_number 162
_space_group_name_Hall '-P 3 2'
_cell_length_a 8.0365
_cell_length_b 8.0365
_cell_length_c 5.5714
_cell_angle_alpha 90.00
_cell_angle_beta 90.00
_cell_angle_gamma 120.00
loop_
_atom_site_label
_atom_site_fract_x
_atom_site_fract_y
_atom_site_fract_z
Mg1 0.0000 0.3747 0.2190
Ga1 0.0000 0.0000 0.0000
Au1 0.0000 0.2769 0.7031
Au2 0.3333 0.6667 0.0000
Au3 0.3333 0.6667 0.5000
```

Principal peaks in the range 15 to 90 degrees two-theta, in order of falling intensity:
| (hkl) | 2theta | I/Imax |
| --- | --- | --- |
| 2 -1 2 | 39.4 | 100 |
| 3 0 0 | 38.8 | 76 |
| 1 1 1 | 27.4 | 72 |
| 2 1 1 | 37.8 | 43 |
| 2 2 2 | 56.5 | 29 |
| 2 0 0 | 25.6 | 27 |
| 2 1 0 | 34.1 | 22 |
| 1 0 2 | 34.7 | 18 |
| 5 -1 2 | 70.6 | 17 |
| 5 -2 1 | 60.3 | 16 |


[6]
Tb5Th2Sc4: calculated XRD peak list (λ = 1.5418 Å (Cu Kα)), based on a structure optimized by DFT (GGA-PBE).
No peak broadening, texture or thermal motion is included.

Cell and atoms:
```
data_Tb5Th2Sc4
_space_group_name_H-M_alt 'P 1 2/m 1'
_space_group_IT_number 10
_cell_length_a 8.4084
_cell_length_b 3.4407
_cell_length_c 11.4781
_cell_angle_alpha 90.00
_cell_angle_beta 96.66
_cell_angle_gamma 90.00
loop_
_space_group_symop_operation_xyz
'x,y,z'
'-x,-y,-z'
'-x,y,-z'
'x,-y,z'
loop_
_atom_site_label
_atom_site_fract_x
_atom_site_fract_y
_atom_site_fract_z
Tb1 0.0000 0.0000 0.0000
Tb2 0.0481 0.0000 0.2968
Tb3 0.3389 0.0000 0.8636
Th1 0.4622 0.0000 0.3619
Sc1 0.1959 0.5000 0.5392
Sc2 0.3127 0.5000 0.1227
```

Principal peaks in the range 15 to 90 degrees two-theta, in order of falling intensity:
| (hkl) | 2theta | I/Imax |
| --- | --- | --- |
| 2 0 3 | 33.7 | 100 |
| 0 1 0 | 25.9 | 89 |
| 1 0 -4 | 32.0 | 64 |
| 3 0 -1 | 32.2 | 60 |
| 0 1 3 | 35.2 | 55 |
| 1 1 -4 | 41.6 | 39 |
| 3 1 -1 | 41.8 | 37 |
| 2 0 0 | 21.3 | 37 |
| 2 0 -3 | 29.9 | 32 |
| 1 1 -2 | 31.6 | 31 |


[7]
Tl3In: calculated XRD peak list (λ = 1.5418 Å (Cu Kα)), based on a structure optimized by DFT (GGA-PBE).
No peak broadening, texture or thermal motion is included.

Cell and atoms:
```
data_Tl3In
_space_group_name_H-M_alt 'P 1'
_space_group_IT_number 1
_cell_length_a 3.6798
_cell_length_b 5.8935
_cell_length_c 6.5031
_cell_angle_alpha 64.03
_cell_angle_beta 73.94
_cell_angle_gamma 89.86
loop_
_space_group_symop_operation_xyz
'x,y,z'
loop_
_atom_site_label
_atom_site_fract_x
_atom_site_fract_y
_atom_site_fract_z
Tl1 0.0000 0.0000 0.0000
Tl2 0.2382 0.6137 0.5137
Tl3 0.7497 0.1245 0.4901
In1 0.5027 0.5101 0.0029
```

Principal peaks in the range 15 to 90 degrees two-theta, in order of falling intensity:
| (hkl) | 2theta | I/Imax |
| --- | --- | --- |
| -1 1 1 | 32.9 | 100 |
| 0 0 2 | 32.2 | 62 |
| 1 1 0 | 32.6 | 49 |
| 1 1 2 | 33.1 | 48 |
| 0 2 1 | 30.3 | 33 |
| 0 2 0 | 34.2 | 30 |
| 1 1 1 | 28.6 | 30 |
| 0 2 2 | 34.7 | 29 |
| 2 0 1 | 49.5 | 19 |
| 1 1 4 | 58.3 | 17 |


[8]
MgTe: calculated XRD peak list (λ = 1.5418 Å (Cu Kα)), based on a structure optimized by DFT (GGA-PBE).
No peak broadening, texture or thermal motion is included.

Cell and atoms:
```
data_MgTe
_space_group_name_H-M_alt 'P 4/n m m'
_space_group_IT_number 129
_cell_length_a 4.7296
_cell_length_b 4.7296
_cell_length_c 6.4676
_cell_angle_alpha 90.00
_cell_angle_beta 90.00
_cell_angle_gamma 90.00
loop_
_space_group_symop_operation_xyz
'x,y,z'
'-x,-y,-z'
'-y+1/2,x,z'
'y+1/2,-x,-z'
'-x+1/2,-y+1/2,z'
'x+1/2,y+1/2,-z'
'y,-x+1/2,z'
'-y,x+1/2,-z'
'x+1/2,-y,-z'
'-x+1/2,y,z'
'-y,-x,-z'
'y,x,z'
'-x,y+1/2,-z'
'x,-y+1/2,z'
'y+1/2,x+1/2,-z'
'-y+1/2,-x+1/2,z'
loop_
_atom_site_label
_atom_site_fract_x
_atom_site_fract_y
_atom_site_fract_z
Mg1 0.2500 0.7500 0.0000
Te1 0.2500 0.2500 0.2466
```

Principal peaks in the range 15 to 90 degrees two-theta, in order of falling intensity:
| (hkl) | 2theta | I/Imax |
| --- | --- | --- |
| 1 0 1 | 23.3 | 100 |
| 1 1 2 | 38.7 | 38 |
| 2 1 1 | 45.1 | 34 |
| 1 1 0 | 26.7 | 22 |
| 2 0 0 | 38.1 | 20 |
| 1 0 3 | 46.3 | 16 |
| 3 1 2 | 69.2 | 13 |
| 2 1 3 | 61.4 | 13 |
| 0 0 2 | 27.6 | 10 |
| 2 0 2 | 47.6 | 9 |